Theoretical XRD peak list of Pd3N for CuKα, from a DFT-relaxed cell (PBE, the Materials Project).
Kinematic intensities with the Lorentz-polarization factor, no thermal factor.

Most intense lines, 10° ≤ 2θ ≤ 90°, low angle first:
d [Å], Position (°2θ), I/Imax, hkl
2.568, 34.9, 20, 1 1 0
2.396, 37.5, 24, 0 0 2
2.264, 39.8, 100, 1 1 1
1.752, 52.2, 17, 1 1 2
1.483, 62.6, 18, 3 0 0
1.356, 69.3, 19, 1 1 3
1.261, 75.4, 18, 3 0 2
1.240, 76.8, 14, 2 2 1
1.198, 80.1, 3, 0 0 4
1.132, 85.9, 4, 2 2 2

Structure:
```
Pd3N
1.0
5.1368 0.0000 0.0000
-2.5684 4.4486 0.0000
0.0000 0.0000 4.7922
Pd N
6 2
direct
0.0000 0.3314 0.0000
0.0000 0.6686 0.5000
0.3314 0.0000 0.0000
0.3314 0.3314 0.5000
0.6686 0.0000 0.5000
0.6686 0.6686 0.0000
0.3333 0.6667 0.2500
0.6667 0.3333 0.7500
```